1.
Structure and simulated X-ray powder pattern of ScH3O3 (the GGA-PBE geometry in the Materials Project; Cu Ka).
Peak positions follow from Bragg's law for the DFT cell and can differ from measured ones.

```
28
Lattice="5.641 3.257 2.282 -5.641 3.257 2.282 0.000 -6.513 2.282" Properties=species:S:1:pos:R:3 pbc="T T T"
Sc 0.000 0.000 0.000
Sc -2.820 -1.628 2.282
Sc -2.820 1.628 4.565
Sc 0.000 3.257 2.282
H -1.012 -3.470 2.221
H -1.722 0.678 1.805
H 0.274 -1.830 1.805
H -2.499 2.612 2.221
H -3.511 -0.859 4.626
H 1.448 1.153 1.805
H -1.448 -1.153 5.042
H 3.511 0.859 2.221
H 2.499 -2.612 4.626
H -0.274 1.830 5.042
H 1.722 -0.678 5.042
H 1.012 3.470 4.626
O -1.756 -0.121 1.215
O -0.978 -2.657 2.778
O 0.983 -1.461 1.215
O -2.790 -0.482 4.069
O 0.773 1.582 1.215
O -1.812 2.175 2.778
O 1.812 -2.175 4.069
O -0.773 -1.582 5.632
O 2.790 0.482 2.778
O -0.983 1.461 5.632
O 0.978 2.657 4.069
O 1.756 0.121 5.632
```

Main lines, by angle (2θ = 10–80°):
two_theta	I/Imax
22.36	100
31.73	16
35.63	18
35.77	14
45.63	18
51.25	24
51.51	24
56.64	17

=====

2.
Structure and simulated X-ray powder pattern of ScH3O3 (the GGA-PBE geometry in the Materials Project; Cu Ka).
Peak positions follow from Bragg's law for the DFT cell and can differ from measured ones.

```
28
Lattice="5.579 3.221 2.304 -5.579 3.221 2.304 0.000 -6.442 2.304" Properties=species:S:1:pos:R:3 pbc="T T T"
Sc 0.000 0.000 0.000
Sc -2.790 -1.611 2.304
Sc -2.790 1.611 4.609
Sc 0.000 3.221 2.304
H -1.539 -4.433 2.866
H -4.609 -0.884 4.047
H -1.944 0.850 2.242
H 0.236 -2.109 2.242
H -3.070 3.549 2.866
H -1.708 -1.259 4.671
H 1.708 1.259 2.242
H 3.070 -3.549 4.047
H -0.236 2.109 4.671
H 1.944 -0.850 4.671
H 4.609 0.884 2.866
H 1.539 4.433 4.047
O -0.960 -1.534 1.157
O -0.848 1.599 1.157
O -2.680 0.443 2.793
O 1.809 -0.065 1.157
O -1.723 -2.100 4.120
O 0.957 -2.542 2.793
O -0.957 2.542 4.120
O 1.723 2.100 2.793
O -1.809 0.065 5.756
O 2.680 -0.443 4.120
O 0.848 -1.599 5.756
O 0.960 1.534 5.756
```

Main lines, by angle (2θ = 10–80°):
two_theta	I/Imax
22.45	100
31.83	18
35.77	20
35.94	15
45.82	18
51.43	26
51.78	25
57.04	17

=====

3.
Structure and simulated X-ray powder pattern of Sc2H6Se3O12 (the GGA-PBE geometry in the Materials Project; Cu Ka).
Peak positions follow from Bragg's law for the DFT cell and can differ from measured ones.

```
46
Lattice="4.921 2.841 7.035 -4.921 2.841 7.035 0.000 -5.683 7.035" Properties=species:S:1:pos:R:3 pbc="T T T"
Sc 0.000 0.000 0.000
Sc 0.000 0.000 4.935
Sc 0.000 0.000 10.552
Sc 0.000 0.000 15.487
H -3.336 -2.140 10.807
H -2.619 0.523 6.104
H -2.303 -2.318 9.621
H -1.585 0.702 7.290
H 0.856 -2.529 6.104
H 0.185 -1.724 7.290
H 1.400 1.022 7.290
H -0.856 3.154 9.621
H 1.762 2.006 6.104
H -0.185 3.959 10.807
H 3.159 -0.835 9.621
H 3.521 -1.819 10.807
Se -3.078 1.293 9.543
Se 0.420 -3.312 9.543
Se -1.843 -1.549 13.060
Se -0.420 2.370 13.060
Se 2.263 -0.822 13.060
Se 2.659 2.020 9.543
O -0.422 -4.042 8.238
O -3.570 -1.680 12.871
O -1.670 0.420 6.350
O -3.289 2.386 8.238
O -0.421 -3.985 10.908
O 0.471 -1.656 6.350
O -0.330 -1.751 9.354
O -3.241 2.357 10.908
O -1.632 -0.455 11.755
O -1.351 1.161 9.354
O -1.681 -0.485 14.425
O 1.199 1.236 6.350
O 1.210 -1.186 11.755
O 1.681 0.590 9.354
O -0.471 -1.656 16.901
O 0.422 1.641 11.755
O 1.260 -1.213 14.425
O -1.199 1.236 16.901
O 3.240 -2.252 12.871
O 0.421 1.698 14.425
O 3.711 1.655 8.238
O 0.330 3.932 12.871
O 3.661 1.628 10.908
O 1.670 0.420 16.901
```

Main lines, by angle (2θ = 10–80°):
two_theta	I/Imax
13.35	71
22.50	100
25.32	25
26.89	73
28.98	39
32.56	40
35.04	22
50.77	26